Entry 1:
Diffraction record for K2PmB2O6. The powder diffraction line list is computed, not measured: it uses a DFT-relaxed cell (GGA-PBE, Alexandria) and Cu Kα (weighted mean of Kα1 and Kα2).

Top 10 peaks for 2θ = 5–70°, by intensity:
2θ/deg	Rel. int.
22.61	100
32.90	57
13.55	41
31.47	40
39.10	34
51.03	27
18.02	27
46.17	25
52.97	19
34.41	15

Cell and atoms:
abc: 5.6853 5.6853 6.5332
angles: 90.00 90.00 120.00
Atoms (fractional coordinates):
K 0.3333 0.6667 0.3265
K 0.6667 0.3333 0.6735
Pm 0.0000 0.0000 0.0000
B 0.3333 0.6667 0.7960
B 0.6667 0.3333 0.2040
O 0.1936 0.3872 0.7913
O 0.1936 0.8064 0.7913
O 0.3872 0.1936 0.2087
O 0.6128 0.8064 0.7913
O 0.8064 0.1936 0.2087
O 0.8064 0.6128 0.2087

=====

Entry 2:
Diffraction record for K3PrB2O6. The powder diffraction line list is computed, not measured: it uses a DFT-relaxed cell (GGA-PBE, Alexandria) and Cu Kα (weighted mean of Kα1 and Kα2).

Top 10 peaks for 2θ = 5–70°, by intensity:
2θ/deg	Rel. int.
31.29	100
18.02	60
31.48	59
44.97	47
12.60	44
22.05	42
38.77	25
55.92	25
48.95	16
62.13	16

Cell and atoms:
abc: 5.6843 5.6843 7.0242
angles: 90.00 90.00 120.00
Atoms (fractional coordinates):
K 0.0000 0.0000 0.0000
K 0.3333 0.6667 0.7513
K 0.6667 0.3333 0.2487
Pr 0.0000 0.0000 0.5000
B 0.3333 0.6667 0.2882
B 0.6667 0.3333 0.7118
O 0.1916 0.3832 0.2889
O 0.1916 0.8084 0.2889
O 0.3832 0.1916 0.7111
O 0.6168 0.8084 0.2889
O 0.8084 0.1916 0.7111
O 0.8084 0.6168 0.7111

=====

Entry 3:
Diffraction record for K2PrB2O6. The powder diffraction line list is computed, not measured: it uses a DFT-relaxed cell (GGA-PBE, Alexandria) and Cu Kα (weighted mean of Kα1 and Kα2).

Top 10 peaks for 2θ = 5–70°, by intensity:
2θ/deg	Rel. int.
22.43	100
32.66	58
31.19	40
13.46	38
38.76	35
50.56	27
45.78	26
17.86	25
52.54	19
34.11	14

Cell and atoms:
abc: 5.7354 5.7354 6.5772
angles: 90.00 90.00 120.00
Atoms (fractional coordinates):
K 0.3333 0.6667 0.3285
K 0.6667 0.3333 0.6715
Pr 0.0000 0.0000 0.0000
B 0.3333 0.6667 0.7924
B 0.6667 0.3333 0.2076
O 0.1948 0.3896 0.7877
O 0.1948 0.8052 0.7877
O 0.3896 0.1948 0.2123
O 0.6104 0.8052 0.7877
O 0.8052 0.1948 0.2123
O 0.8052 0.6104 0.2123

=====

Entry 4:
Diffraction record for KPuB2O8. The powder diffraction line list is computed, not measured: it uses a DFT-relaxed cell (GGA-PBE, Alexandria) and Cu Kα (weighted mean of Kα1 and Kα2).

Top 10 peaks for 2θ = 5–70°, by intensity:
2θ/deg	Rel. int.
12.79	100
21.32	86
20.09	74
22.55	72
29.03	60
42.81	35
26.22	27
36.35	25
25.75	24
43.42	23

Cell and atoms:
abc: 5.0559 5.0559 7.5357
angles: 109.64 109.64 63.71
Atoms (fractional coordinates):
K 0.0000 0.0000 0.0000
Pu 0.0000 0.0000 0.5000
B 0.4308 0.4308 0.7257
B 0.5692 0.5692 0.2743
O 0.2512 0.2512 0.5902
O 0.2568 0.7101 0.2989
O 0.2899 0.7432 0.7011
O 0.4160 0.4160 0.9201
O 0.5840 0.5840 0.0799
O 0.7101 0.2568 0.2989
O 0.7432 0.2899 0.7011
O 0.7488 0.7488 0.4098

=====

Entry 5:
Diffraction record for KPuB2O6. The powder diffraction line list is computed, not measured: it uses a DFT-relaxed cell (GGA-PBE, Alexandria) and Cu Kα (weighted mean of Kα1 and Kα2).

Top 10 peaks for 2θ = 5–70°, by intensity:
2θ/deg	Rel. int.
20.36	100
18.89	69
28.95	48
25.90	46
24.25	44
28.15	41
31.18	29
36.95	29
17.56	28
39.29	25

Cell and atoms:
abc: 7.0013 7.0013 5.0210
angles: 99.87 99.87 92.35
Atoms (fractional coordinates):
K 0.0850 0.9150 0.7500
K 0.9150 0.0850 0.2500
Pu 0.3080 0.6920 0.2500
Pu 0.6920 0.3080 0.7500
B 0.2014 0.3542 0.8337
B 0.3542 0.2014 0.3337
B 0.6458 0.7986 0.6663
B 0.7986 0.6458 0.1663
O 0.0065 0.2801 0.7354
O 0.2137 0.5742 0.8604
O 0.2783 0.3423 0.1515
O 0.2801 0.0065 0.2354
O 0.3423 0.2783 0.6515
O 0.4258 0.7863 0.6396
O 0.5742 0.2137 0.3604
O 0.6577 0.7217 0.3485
O 0.7199 0.9935 0.7646
O 0.7217 0.6577 0.8485
O 0.7863 0.4258 0.1396
O 0.9935 0.7199 0.2646

=====

Entry 6:
Diffraction record for KBS2O8. The powder diffraction line list is computed, not measured: it uses a DFT-relaxed cell (GGA-PBE, Alexandria) and Cu Kα (weighted mean of Kα1 and Kα2).

Top 10 peaks for 2θ = 5–70°, by intensity:
2θ/deg	Rel. int.
24.52	100
30.54	41
37.63	30
27.25	12
45.99	11
13.53	11
23.52	7
43.76	5
41.96	5
19.19	5

Cell and atoms:
abc: 9.2520 9.2520 7.5650
angles: 90.00 90.00 90.00
Atoms (fractional coordinates):
K 0.2500 0.2500 0.0601
K 0.2500 0.2500 0.5601
K 0.7500 0.7500 0.4399
K 0.7500 0.7500 0.9399
B 0.2500 0.7500 0.0000
B 0.2500 0.7500 0.5000
B 0.7500 0.2500 0.0000
B 0.7500 0.2500 0.5000
S 0.0969 0.5969 0.2500
S 0.0969 0.9031 0.7500
S 0.4031 0.5969 0.7500
S 0.4031 0.9031 0.2500
S 0.5969 0.0969 0.7500
S 0.5969 0.4031 0.2500
S 0.9031 0.0969 0.2500
S 0.9031 0.4031 0.7500
O 0.0446 0.1253 0.3208
O 0.0446 0.3747 0.8208
O 0.1212 0.7171 0.3917
O 0.1212 0.7829 0.8917
O 0.1253 0.0446 0.8208
O 0.1253 0.4554 0.3208
O 0.2171 0.6212 0.1083
O 0.2171 0.8788 0.6083
O 0.2829 0.6212 0.6083
O 0.2829 0.8788 0.1083
O 0.3747 0.0446 0.3208
O 0.3747 0.4554 0.8208
O 0.3788 0.7171 0.8917
O 0.3788 0.7829 0.3917
O 0.4554 0.1253 0.8208
O 0.4554 0.3747 0.3208
O 0.5446 0.6253 0.6792
O 0.5446 0.8747 0.1792
O 0.6212 0.2171 0.6083
O 0.6212 0.2829 0.1083
O 0.6253 0.5446 0.1792
O 0.6253 0.9554 0.6792
O 0.7171 0.1212 0.8917
O 0.7171 0.3788 0.3917
O 0.7829 0.1212 0.3917
O 0.7829 0.3788 0.8917
O 0.8747 0.5446 0.6792
O 0.8747 0.9554 0.1792
O 0.8788 0.2171 0.1083
O 0.8788 0.2829 0.6083
O 0.9554 0.6253 0.1792
O 0.9554 0.8747 0.6792

=====

Entry 7:
Diffraction record for K3BSb4O13. The powder diffraction line list is computed, not measured: it uses a DFT-relaxed cell (GGA-PBE, Alexandria) and Cu Kα (weighted mean of Kα1 and Kα2).

Top 10 peaks for 2θ = 5–70°, by intensity:
2θ/deg	Rel. int.
13.34	100
14.79	78
14.55	72
31.23	47
29.72	41
29.60	40
33.77	29
28.50	29
29.40	28
28.80	25

Cell and atoms:
abc: 7.2261 7.3445 13.5035
angles: 82.45 79.88 63.09
Atoms (fractional coordinates):
K 0.1263 0.0754 0.0617
K 0.2822 0.2917 0.8079
K 0.3120 0.2801 0.5320
K 0.6880 0.7199 0.4680
K 0.7178 0.7083 0.1921
K 0.8737 0.9246 0.9383
B 0.1587 0.7667 0.5238
B 0.8413 0.2333 0.4762
Sb 0.1651 0.7107 0.2914
Sb 0.1716 0.2078 0.2939
Sb 0.3143 0.8079 0.7139
Sb 0.4241 0.4330 0.1058
Sb 0.5759 0.5670 0.8942
Sb 0.6857 0.1921 0.2861
Sb 0.8284 0.7922 0.7061
Sb 0.8349 0.2893 0.7086
O 0.0511 0.1577 0.4364
O 0.0636 0.4968 0.3328
O 0.0969 0.7115 0.7611
O 0.1366 0.1029 0.6927
O 0.1640 0.6920 0.1410
O 0.2317 0.6829 0.4307
O 0.2658 0.2710 0.1503
O 0.2742 0.9187 0.2537
O 0.3183 0.8261 0.8633
O 0.3209 0.7448 0.5737
O 0.4120 0.4085 0.9622
O 0.4495 0.1192 0.3416
O 0.4674 0.4878 0.2486
O 0.5326 0.5122 0.7514
O 0.5505 0.8808 0.6584
O 0.5880 0.5915 0.0378
O 0.6791 0.2552 0.4263
O 0.6817 0.1739 0.1367
O 0.7258 0.0813 0.7463
O 0.7342 0.7290 0.8497
O 0.7683 0.3171 0.5693
O 0.8360 0.3080 0.8590
O 0.8634 0.8971 0.3073
O 0.9031 0.2885 0.2389
O 0.9364 0.5032 0.6672
O 0.9489 0.8423 0.5636